Record 1
The following is a simulated XRD peak list of Na2SrSn3O8. It was derived from a GGA-PBE-relaxed structure, using a wavelength of 1.5418 Å.
Neutral-atom scattering factors, no anomalous dispersion.

Structure:
```
data_Na2SrSn3O8
_chemical_formula_sum 'Na6 Sr3 Sn9 O24'
_cell_length_a 6.5172
_cell_length_b 6.5172
_cell_length_c 17.1047
_cell_angle_alpha 90.00
_cell_angle_beta 90.00
_cell_angle_gamma 120.00
_space_group_name_H-M_alt 'R 3 m'
_space_group_IT_number 160
_space_group_name_Hall 'R 3 -2"'
loop_
_atom_site_label
_atom_site_fract_x
_atom_site_fract_y
_atom_site_fract_z
_atom_site_occupancy
Na1 0.0000 0.0000 0.0000 1
Na2 0.0000 0.0000 0.3811 1
Sr1 0.0000 0.0000 0.6210 1
Sn1 0.1682 0.3364 0.8316 1
O1 0.0000 0.0000 0.2355 1
O2 0.0000 0.0000 0.7646 1
O3 0.0331 0.5165 0.7688 1
O4 0.1876 0.3752 0.5628 1
```

Largest 8 diffraction maxima, in order of rising 2θ, 10 to 90 degrees two-theta:
2θ/deg, I/Imax, hkl
15.54, 100, 0 0 3
26.14, 41, 1 0 4
31.63, 56, 1 1 3
32.15, 87, 0 2 1
38.21, 50, 0 2 4
49.33, 38, 0 2 7
53.79, 39, 2 0 8
56.48, 38, 2 2 0

---

Record 2
The following is a simulated XRD peak list of Na2TbSnO4. It was derived from a GGA-PBE-relaxed structure, using a wavelength of 1.5418 Å.
Neutral-atom scattering factors, no anomalous dispersion.

Structure:
```
data_Na2TbSnO4
_chemical_formula_sum 'Na4 Tb2 Sn2 O8'
_cell_length_a 4.6614
_cell_length_b 4.6614
_cell_length_c 10.1849
_cell_angle_alpha 90.00
_cell_angle_beta 90.00
_cell_angle_gamma 90.00
_space_group_name_H-M_alt 'I -4 m 2'
_space_group_IT_number 119
_space_group_name_Hall 'I -4 -2'
loop_
_atom_site_label
_atom_site_fract_x
_atom_site_fract_y
_atom_site_fract_z
_atom_site_occupancy
Na1 0.0000 0.0000 0.0000 1
Na2 0.0000 0.5000 0.2500 1
Tb1 0.0000 0.5000 0.7500 1
Sn1 0.0000 0.0000 0.5000 1
O1 0.0000 0.0000 0.2743 1
O2 0.0000 0.5000 0.5217 1
```

Largest 8 diffraction maxima, in order of rising 2θ, 10 to 90 degrees two-theta:
2θ/deg, I/Imax, hkl
20.96, 100, 1 0 1
32.35, 80, 1 1 2
32.63, 24, 1 0 3
35.25, 34, 0 0 4
38.63, 56, 2 0 0
44.36, 29, 2 1 1
53.28, 40, 2 0 4
65.98, 23, 3 1 2

---

Record 3
The following is a simulated XRD peak list of NaTm2SnO5. It was derived from a GGA-PBE-relaxed structure, using a wavelength of 1.5418 Å.
Neutral-atom scattering factors, no anomalous dispersion.

Structure:
```
data_NaTm2SnO5
_chemical_formula_sum 'Na2 Tm4 Sn2 O10'
_cell_length_a 4.0389
_cell_length_b 5.7498
_cell_length_c 11.6825
_cell_angle_alpha 90.00
_cell_angle_beta 90.00
_cell_angle_gamma 90.00
_space_group_name_H-M_alt 'I m m m'
_space_group_IT_number 71
_space_group_name_Hall '-I 2 2'
loop_
_atom_site_label
_atom_site_fract_x
_atom_site_fract_y
_atom_site_fract_z
_atom_site_occupancy
Na1 0.0000 0.0000 0.0000 1
Tm1 0.0000 0.5000 0.2148 1
Sn1 0.0000 0.0000 0.5000 1
O1 0.0000 0.2301 0.3400 1
O2 0.0000 0.5000 0.0000 1
```

Largest 8 diffraction maxima, in order of rising 2θ, 10 to 90 degrees two-theta:
2θ/deg, I/Imax, hkl
15.17, 18, 0 0 2
17.19, 34, 0 1 1
31.10, 100, 0 2 0
41.73, 17, 0 1 5
44.21, 14, 0 2 4
44.87, 16, 2 0 0
45.18, 19, 1 2 3
55.33, 22, 1 3 2

---

Record 4
The following is a simulated XRD peak list of Na4SrTa5O15. It was derived from a GGA-PBE-relaxed structure, using a wavelength of 1.5418 Å.
Neutral-atom scattering factors, no anomalous dispersion.

Structure:
```
data_Na4SrTa5O15
_chemical_formula_sum 'Na8 Sr2 Ta10 O30'
_cell_length_a 6.8874
_cell_length_b 8.8693
_cell_length_c 11.2700
_cell_angle_alpha 108.76
_cell_angle_beta 90.52
_cell_angle_gamma 104.47
_space_group_name_H-M_alt 'P -1'
_space_group_IT_number 2
_space_group_name_Hall '-P 1'
loop_
_atom_site_label
_atom_site_fract_x
_atom_site_fract_y
_atom_site_fract_z
_atom_site_occupancy
Na1 0.0000 0.0000 0.0000 1
Na2 0.0000 0.0000 0.5000 1
Na3 0.1973 0.6023 0.3988 1
Na4 0.2004 0.5987 0.9007 1
Na5 0.4004 0.2045 0.8020 1
Sr1 0.3992 0.1993 0.2995 1
Ta1 0.0978 0.7975 0.1987 1
Ta2 0.0994 0.8004 0.6997 1
Ta3 0.2971 0.3992 0.6020 1
Ta4 0.2995 0.4005 0.0974 1
Ta5 0.5000 0.0000 0.0000 1
Ta6 0.5000 0.0000 0.5000 1
O1 0.0271 0.0142 0.2779 1
O2 0.0925 0.3329 0.4540 1
O3 0.0937 0.3013 0.6981 1
O4 0.1023 0.2904 0.1960 1
O5 0.1203 0.2691 0.9396 1
O6 0.1691 0.5844 0.1254 1
O7 0.2297 0.6152 0.6766 1
O8 0.2896 0.9076 0.0986 1
O9 0.2957 0.9340 0.8516 1
O10 0.3001 0.8862 0.5926 1
O11 0.3242 0.8770 0.3374 1
O12 0.3629 0.1818 0.5286 1
O13 0.4385 0.2186 0.0721 1
O14 0.4823 0.5274 0.2584 1
O15 0.5000 0.5000 0.0000 1
O16 0.5000 0.5000 0.5000 1
```

Largest 8 diffraction maxima, in order of rising 2θ, 10 to 90 degrees two-theta:
2θ/deg, I/Imax, hkl
22.18, 40, 1 1 -2
22.46, 75, 1 -2 0
31.77, 100, 0 3 -2
31.97, 52, 0 2 2
45.84, 30, 2 -4 0
56.48, 21, 4 0 -2
56.85, 42, 2 3 2
66.38, 19, 0 6 -4

---

Record 5
The following is a simulated XRD peak list of Na3SrTa4O12. It was derived from a GGA-PBE-relaxed structure, using a wavelength of 1.5418 Å.
Neutral-atom scattering factors, no anomalous dispersion.

Structure:
```
data_Na3SrTa4O12
_chemical_formula_sum 'Na3 Sr1 Ta4 O12'
_cell_length_a 5.6155
_cell_length_b 7.9721
_cell_length_c 5.6165
_cell_angle_alpha 90.00
_cell_angle_beta 90.38
_cell_angle_gamma 90.00
_space_group_name_H-M_alt 'P 1 m 1'
_space_group_IT_number 6
_space_group_name_Hall 'P -2y'
loop_
_atom_site_label
_atom_site_fract_x
_atom_site_fract_y
_atom_site_fract_z
_atom_site_occupancy
Na1 0.0000 0.0000 0.0000 1
Na2 0.0124 0.5000 0.9861 1
Na3 0.5070 0.5000 0.4905 1
Sr1 0.5003 0.0000 0.4995 1
Ta1 0.0061 0.2532 0.4923 1
Ta2 0.5066 0.2532 0.9927 1
O1 0.0372 0.5000 0.5285 1
O2 0.2301 0.2153 0.7686 1
O3 0.2888 0.2484 0.2741 1
O4 0.4677 0.5000 0.9652 1
O5 0.5436 0.0000 0.0176 1
O6 0.7244 0.2513 0.7096 1
O7 0.7851 0.2800 0.2137 1
O8 0.9781 0.0000 0.4577 1
```

Largest 8 diffraction maxima, in order of rising 2θ, 10 to 90 degrees two-theta:
2θ/deg, I/Imax, hkl
22.31, 70, 1 0 -1
22.46, 34, 1 0 1
31.75, 49, 1 2 -1
31.87, 100, 1 2 1
45.52, 31, 2 0 -2
51.30, 30, 1 4 1
56.64, 42, 2 4 0
56.85, 21, 3 2 1

---

Record 6
The following is a simulated XRD peak list of Na2SrTc2O7. It was derived from a GGA-PBE-relaxed structure, using a wavelength of 1.5418 Å.
Neutral-atom scattering factors, no anomalous dispersion.

Structure:
```
data_Na2SrTc2O7
_chemical_formula_sum 'Na4 Sr2 Tc4 O14'
_cell_length_a 3.9780
_cell_length_b 3.9836
_cell_length_c 19.4910
_cell_angle_alpha 90.00
_cell_angle_beta 90.00
_cell_angle_gamma 90.00
_space_group_name_H-M_alt 'I m m m'
_space_group_IT_number 71
_space_group_name_Hall '-I 2 2'
loop_
_atom_site_label
_atom_site_fract_x
_atom_site_fract_y
_atom_site_fract_z
_atom_site_occupancy
Na1 0.0000 0.0000 0.2504 1
Sr1 0.0000 0.5000 0.0000 1
Tc1 0.0000 0.5000 0.3980 1
O1 0.0000 0.0000 0.0964 1
O2 0.0000 0.0000 0.4035 1
O3 0.0000 0.5000 0.3018 1
O4 0.0000 0.5000 0.5000 1
```

Largest 8 diffraction maxima, in order of rising 2θ, 10 to 90 degrees two-theta:
2θ/deg, I/Imax, hkl
22.80, 46, 1 0 1
26.26, 86, 1 0 3
31.79, 45, 1 1 0
32.14, 100, 0 1 5
33.13, 42, 1 1 2
45.58, 65, 2 0 0
56.86, 43, 2 1 5
57.51, 34, 1 1 10